Simulated PXRD pattern
Compound: SrUFeO6
Radiation: copper Kα
Structure: the GGA+U geometry in Alexandria

Peak list (10 most intense, 2θ = 15–90°, in order of rising 2θ)
(0 0 2), 2θ = 17.7°, I 19.3; (1 0 1), 2θ = 19.5°, I 53.7; (1 1 0), 2θ = 24.7°, I 100.0; (1 1 2), 2θ = 30.5°, I 19.4; (1 0 3), 2θ = 32.0°, I 81.5; (2 0 0), 2θ = 35.2°, I 23.9; (2 1 3), 2θ = 48.3°, I 67.4; (2 2 0), 2θ = 50.6°, I 17.5; (3 0 3), 2θ = 61.1°, I 35.8; (4 1 3), 2θ = 83.2°, I 25.5

Unit cell a=5.1056 b=5.1056 c=10.0276 alpha=90.00 beta=90.00 gamma=90.00
Space group P4_2nm (No. 102)
Asymmetric unit:
Sr  0.0000  0.0000  0.0000 (multiplicity 2)
U  0.0000  0.0000  0.6611 (multiplicity 2)
Fe  0.0000  0.0000  0.3287 (multiplicity 2)
O  0.1677  0.1677  0.4910 (multiplicity 4)
O  0.2097  0.2097  0.1921 (multiplicity 4)
O  0.2140  0.2140  0.7971 (multiplicity 4)